This entry pairs a crystal structure of Ba4La6MnCo9O30 with its theoretical powder diffractogram. Radiation: λ = 1.5418 Å (Cu Kα). Structure: DFT lattice parameters and positions (GGA+U).
Intensities are scaled so that the largest is 100.

Main lines, low angle first (15 to 90 degrees two-theta):
(hkl)	2θ (°)	Rel. int.
2 0 0	32.0	52
1 1 5	32.4	100
2 0 5	39.8	25
2 2 0	45.9	34
3 1 5	57.3	39
2 0 10	58.0	20

Cell and atoms:
```
Ba4La6MnCo9O30
1.0
5.5972 0.0000 0.0000
0.0000 5.5972 0.0000
0.0000 0.0000 19.3165
Ba La Mn Co O
4 6 1 9 30
Cartesian
0.0000 2.7986 1.9359 Ba
0.0000 2.7986 17.3806 Ba
2.7986 0.0000 1.9359 Ba
2.7986 0.0000 17.3806 Ba
0.0000 2.7986 5.8087 La
0.0000 2.7986 9.6583 La
0.0000 2.7986 13.5078 La
2.7986 0.0000 5.8087 La
2.7986 0.0000 9.6583 La
2.7986 0.0000 13.5078 La
0.0000 0.0000 0.0000 Mn
0.0000 0.0000 3.9811 Co
0.0000 0.0000 7.7506 Co
0.0000 0.0000 11.5659 Co
0.0000 0.0000 15.3354 Co
2.7986 2.7986 0.0000 Co
2.7986 2.7986 3.8611 Co
2.7986 2.7986 7.7365 Co
2.7986 2.7986 11.5800 Co
2.7986 2.7986 15.4554 Co
0.0000 0.0000 1.9804 O
0.0000 0.0000 5.9650 O
0.0000 0.0000 9.6583 O
0.0000 0.0000 13.3516 O
0.0000 0.0000 17.3361 O
1.3557 1.3557 4.1782 O
1.3557 1.3557 15.1384 O
1.3557 4.2414 4.1782 O
1.3557 4.2414 15.1384 O
1.4020 1.4020 7.8180 O
1.4020 1.4020 11.4986 O
1.4020 4.1952 7.8180 O
1.4020 4.1952 11.4986 O
1.4053 1.4053 0.0000 O
1.4053 4.1919 0.0000 O
2.7986 2.7986 2.1116 O
2.7986 2.7986 5.8855 O
2.7986 2.7986 9.6583 O
2.7986 2.7986 13.4310 O
2.7986 2.7986 17.2049 O
4.1919 1.4053 0.0000 O
4.1919 4.1919 0.0000 O
4.1952 1.4020 7.8180 O
4.1952 1.4020 11.4986 O
4.1952 4.1952 7.8180 O
4.1952 4.1952 11.4986 O
4.2414 1.3557 4.1782 O
4.2414 1.3557 15.1384 O
4.2414 4.2414 4.1782 O
4.2414 4.2414 15.1384 O
```